Calculated powder XRD pattern
Compound: AlAs5
Radiation: a wavelength of 1.5418 Å
Structure: a structure optimized by DFT (PBE)

Cell and atoms:
a b c (Å): 6.536 6.536 8.742
angles (deg): 130.24 130.24 31.75
Element x y z (fractional)
Al 0.000 0.000 0.000
As 0.209 0.209 0.015
As 0.370 0.370 0.708
As 0.584 0.584 0.742
As 0.658 0.658 0.354
As 0.981 0.981 0.265

Most intense lines, 15 to 90 degrees two-theta, sorted by position:
| Position (°2θ) | I/Imax |
| --- | --- |
| 20.33 | 97.1 |
| 28.45 | 32.6 |
| 33.02 | 100.0 |
| 33.41 | 28.0 |
| 33.60 | 49.1 |
| 33.99 | 27.2 |
| 38.40 | 34.5 |
| 50.17 | 46.7 |
| 51.09 | 26.3 |
| 55.59 | 28.9 |

Calculated powder XRD pattern
Compound: Al5As
Radiation: a wavelength of 1.5418 Å
Structure: a structure optimized by DFT (PBE)

Cell and atoms:
a b c (Å): 5.025 5.025 4.705
angles (deg): 90.00 90.00 120.00
Element x y z (fractional)
Al 0.000 0.666 0.000
Al 0.333 0.667 0.500
Al 0.334 0.334 0.000
Al 0.666 0.000 0.000
Al 0.667 0.333 0.500
As 0.000 0.000 0.500

Most intense lines, 15 to 90 degrees two-theta, sorted by position:
| Position (°2θ) | I/Imax |
| --- | --- |
| 20.41 | 21.4 |
| 27.93 | 20.5 |
| 35.74 | 27.8 |
| 38.26 | 26.1 |
| 40.71 | 100.0 |
| 53.35 | 17.1 |
| 64.21 | 16.7 |
| 70.83 | 19.0 |
| 77.27 | 19.4 |
| 78.87 | 14.0 |

Calculated powder XRD pattern
Compound: Al3As5
Radiation: a wavelength of 1.5418 Å
Structure: a structure optimized by DFT (PBE)

Cell and atoms:
a b c (Å): 8.095 8.095 9.068
angles (deg): 94.15 94.15 137.89
Element x y z (fractional)
Al 0.000 0.000 0.000
Al 0.139 0.384 0.312
Al 0.211 0.692 0.926
Al 0.384 0.139 0.312
Al 0.618 0.618 0.654
Al 0.692 0.211 0.926
As 0.018 0.537 0.156
As 0.037 0.811 0.798
As 0.044 0.510 0.524
As 0.214 0.460 0.733
As 0.460 0.214 0.733
As 0.510 0.044 0.524
As 0.537 0.018 0.156
As 0.562 0.562 0.372
As 0.811 0.037 0.798
As 0.962 0.962 0.263

Most intense lines, 15 to 90 degrees two-theta, sorted by position:
| Position (°2θ) | I/Imax |
| --- | --- |
| 19.99 | 31.8 |
| 23.23 | 59.2 |
| 23.57 | 34.5 |
| 25.63 | 100.0 |
| 31.08 | 48.6 |
| 32.48 | 44.5 |
| 33.62 | 52.2 |
| 33.79 | 35.3 |
| 46.26 | 67.6 |
| 48.20 | 52.7 |